# 1
Structure and computed powder diffractogram of K2ScSn (a crystal structure in Alexandria, relaxed with PBE; Cu Kα).
Peak positions follow from Bragg's law for the DFT cell and can differ from measured ones.

Top 8 peaks for 2θ = 10–80°, in order of rising 2θ:
2θ (°), d_spacing, intensity
13.91, 6.365, 100.0
17.28, 5.130, 48.5
19.73, 4.501, 48.8
28.04, 3.183, 30.8
31.43, 2.847, 68.7
33.49, 2.676, 38.6
39.16, 2.300, 46.6
48.85, 1.864, 24.7

```
K2ScSn
1.0
12.730 0.000 0.000
0.000 12.730 0.000
0.000 0.000 5.606
K Sc Sn
8 4 4
Cartesian
1.293 3.183 0.701 K
3.183 7.658 2.102 K
3.183 11.437 4.905 K
5.072 3.183 3.504 K
7.658 9.548 3.504 K
9.548 1.293 4.905 K
9.548 5.072 2.102 K
11.437 9.548 0.701 K
0.000 0.000 2.803 Sc
0.000 6.365 4.204 Sc
6.365 0.000 1.401 Sc
6.365 6.365 0.000 Sc
0.000 0.000 0.000 Sn
0.000 6.365 1.401 Sn
6.365 0.000 4.204 Sn
6.365 6.365 2.803 Sn
```

***

# 2
Structure and computed powder diffractogram of MgPb (a crystal structure in Alexandria, relaxed with PBE; Cu Kα).
Peak positions follow from Bragg's law for the DFT cell and can differ from measured ones.

Top 8 peaks for 2θ = 10–80°, in order of rising 2θ:
2θ (°), d_spacing, intensity
21.28, 4.176, 85.4
32.82, 2.729, 100.0
33.02, 2.713, 29.6
35.58, 2.523, 20.2
39.28, 2.293, 31.0
45.10, 2.010, 25.7
54.03, 1.697, 24.9
67.15, 1.394, 26.2

```
MgPb
1.0
4.587 0.000 0.000
0.000 4.587 0.000
0.000 0.000 10.093
Mg Pb
4 4
Cartesian
0.000 1.147 3.785 Mg
0.000 3.440 6.308 Mg
2.293 1.147 1.262 Mg
2.293 3.440 8.832 Mg
0.000 1.147 8.832 Pb
0.000 3.440 1.262 Pb
2.293 1.147 6.308 Pb
2.293 3.440 3.785 Pb
```

***

# 3
Structure and computed powder diffractogram of LiVSe3 (a crystal structure in Alexandria, relaxed with PBE; Cu Kα).
Peak positions follow from Bragg's law for the DFT cell and can differ from measured ones.

Top 8 peaks for 2θ = 10–80°, in order of rising 2θ:
2θ (°), d_spacing, intensity
14.75, 6.006, 100.0
15.10, 5.868, 39.2
25.48, 3.495, 36.3
26.10, 3.414, 79.8
27.96, 3.191, 33.1
39.36, 2.289, 35.7
45.05, 2.013, 26.5
45.25, 2.004, 27.9

```
LiVSe3
1.0
3.916 -5.868 0.000
3.916 5.868 0.000
-2.624 0.000 5.196
Li V Se
2 2 6
Cartesian
2.604 3.114 2.598 Li
3.916 -3.114 0.000 Li
6.145 0.062 1.447 V
4.833 -0.062 4.045 V
0.752 0.374 0.979 Se
-0.560 -0.374 3.577 Se
2.954 1.461 4.737 Se
4.944 1.906 2.535 Se
4.266 -1.461 2.139 Se
3.632 -1.906 5.133 Se
```